1.
CsHg2PSe4: simulated powder XRD pattern (copper Kα), based on the GGA-PBE geometry in Alexandria.

Principal peaks in the range 5° ≤ 2θ ≤ 70°, most intense first:
2θ = 25.38°, rel. 100.0; 2θ = 42.41°, rel. 32.4; 2θ = 45.82°, rel. 29.8; 2θ = 42.50°, rel. 24.5; 2θ = 23.49°, rel. 24.4; 2θ = 28.03°, rel. 24.3; 2θ = 37.55°, rel. 15.4; 2θ = 33.39°, rel. 14.9; 2θ = 33.53°, rel. 14.8; 2θ = 19.10°, rel. 11.5

```
CsHg2PSe4
1.0
0.0000 5.3675 4.6462
5.3455 0.0000 4.6462
5.3455 5.3675 0.0000
Cs Hg P Se
1 2 1 4
Cartesian
0.0000 0.0000 0.0000
2.6728 2.6838 2.2869
8.0183 8.0513 6.9332
5.3455 5.3675 4.6472
5.3455 3.5281 3.3534
7.1850 5.3675 5.9521
5.3455 7.2069 3.3534
3.5060 5.3675 5.9521
```


2.
Cs2SnHgP: simulated powder XRD pattern (copper Kα), based on the GGA-PBE geometry in Alexandria.

Principal peaks in the range 5° ≤ 2θ ≤ 70°, most intense first:
2θ = 24.90°, rel. 100.0; 2θ = 25.34°, rel. 59.9; 2θ = 44.39°, rel. 43.4; 2θ = 43.59°, rel. 28.0; 2θ = 36.14°, rel. 23.7; 2θ = 51.09°, rel. 17.6; 2θ = 34.87°, rel. 13.1; 2θ = 69.17°, rel. 11.9; 2θ = 58.74°, rel. 11.7; 2θ = 56.77°, rel. 10.6

```
Cs2SnHgP
1.0
7.0293 0.0000 0.0000
0.0000 7.0293 0.0000
0.0000 0.0000 5.1465
Cs Sn Hg P
2 1 1 1
Cartesian
0.0000 3.5147 0.0000
3.5147 0.0000 0.0000
0.0000 0.0000 2.5732
3.5147 3.5147 2.5732
0.0000 0.0000 0.0000
```


3.
CsPaHgSe3: simulated powder XRD pattern (copper Kα), based on the GGA-PBE geometry in Alexandria.

Principal peaks in the range 5° ≤ 2θ ≤ 70°, most intense first:
2θ = 24.75°, rel. 100.0; 2θ = 20.73°, rel. 72.1; 2θ = 30.44°, rel. 64.4; 2θ = 25.14°, rel. 40.2; 2θ = 39.35°, rel. 38.9; 2θ = 25.50°, rel. 37.6; 2θ = 9.40°, rel. 35.9; 2θ = 26.91°, rel. 32.4; 2θ = 41.10°, rel. 29.3; 2θ = 31.19°, rel. 28.4

```
CsPaHgSe3
1.0
3.6414 -9.4077 0.0000
3.6414 9.4077 0.0000
-2.0891 0.0000 7.0859
Cs Pa Hg Se
2 2 2 6
Cartesian
2.0746 5.1468 5.3144
3.1192 -5.1468 1.7715
3.1192 8.4623 1.7715
2.0746 -8.4623 5.3144
3.1192 2.2297 1.7715
2.0746 -2.2297 5.3144
0.6053 0.7488 3.6181
3.1192 5.8273 1.7715
1.6498 -0.7488 0.0752
3.5440 0.7488 7.0107
2.0746 -5.8273 5.3144
4.5885 -0.7488 3.4678
```


4.
Cs2PaHg2Se6: simulated powder XRD pattern (copper Kα), based on the GGA-PBE geometry in Alexandria.

Principal peaks in the range 5° ≤ 2θ ≤ 70°, most intense first:
2θ = 22.74°, rel. 100.0; 2θ = 23.39°, rel. 99.4; 2θ = 31.45°, rel. 42.6; 2θ = 40.27°, rel. 35.2; 2θ = 11.11°, rel. 33.2; 2θ = 38.05°, rel. 29.4; 2θ = 41.49°, rel. 29.3; 2θ = 14.28°, rel. 24.2; 2θ = 49.15°, rel. 23.4; 2θ = 33.47°, rel. 20.8

```
Cs2PaHg2Se6
1.0
6.8053 -3.9182 0.0000
6.8053 3.9182 0.0000
-3.6025 0.0000 7.9673
Cs Pa Hg Se
2 1 2 6
Cartesian
2.2122 0.0000 1.3453
7.7959 0.0000 6.6220
-1.8013 0.0000 3.9837
3.2570 0.0000 5.5631
6.7511 0.0000 2.4042
5.4015 2.1404 1.8450
0.8116 0.0000 4.6957
4.6066 2.1404 6.1223
5.4015 -2.1404 1.8450
9.1965 0.0000 3.2717
4.6066 -2.1404 6.1223
```


5.
CsPaHgTe3: simulated powder XRD pattern (copper Kα), based on the GGA-PBE geometry in Alexandria.

Principal peaks in the range 5° ≤ 2θ ≤ 70°, most intense first:
2θ = 23.09°, rel. 100.0; 2θ = 28.47°, rel. 78.3; 2θ = 30.71°, rel. 59.9; 2θ = 9.31°, rel. 58.3; 2θ = 24.11°, rel. 40.5; 2θ = 37.06°, rel. 40.3; 2θ = 22.26°, rel. 33.5; 2θ = 35.76°, rel. 31.8; 2θ = 18.88°, rel. 29.7; 2θ = 45.39°, rel. 29.0

```
CsPaHgTe3
1.0
4.1275 -9.5019 0.0000
4.1275 9.5019 0.0000
-1.9238 0.0000 7.3934
Cs Pa Hg Te
2 2 2 6
Cartesian
2.6846 5.2913 5.5450
3.6465 -5.2913 1.8483
3.6465 0.9976 1.8483
2.6846 -0.9976 5.5450
3.6465 7.5117 1.8483
2.6846 -7.5117 5.5450
1.2422 0.6995 3.5861
3.6465 3.8642 1.8483
0.2803 -0.6995 7.2828
6.0508 0.6995 0.1106
2.6846 -3.8642 5.5450
5.0889 -0.6995 3.8073
```


6.
Cs2Hg12Pb5: simulated powder XRD pattern (copper Kα), based on the GGA-PBE geometry in Alexandria.

Principal peaks in the range 5° ≤ 2θ ≤ 70°, most intense first:
2θ = 32.15°, rel. 100.0; 2θ = 36.15°, rel. 67.4; 2θ = 32.45°, rel. 48.1; 2θ = 27.98°, rel. 40.9; 2θ = 35.36°, rel. 24.3; 2θ = 31.28°, rel. 24.2; 2θ = 57.90°, rel. 21.1; 2θ = 56.25°, rel. 20.2; 2θ = 57.73°, rel. 19.6; 2θ = 16.07°, rel. 13.4

```
Cs2Hg12Pb5
1.0
5.5166 3.1850 5.7197
-5.5166 3.1850 5.7197
0.0000 -6.3700 5.7197
Cs Hg Pb
2 12 5
Cartesian
0.0000 0.0000 2.7867
0.0000 0.0000 14.3722
0.0000 -3.3394 5.3052
-2.8920 1.6697 5.3052
-1.6204 -2.8066 8.5795
-3.2408 0.0000 8.5795
-2.8920 -1.6697 11.8538
1.6204 -2.8066 8.5795
-1.6204 2.8066 8.5795
2.8920 1.6697 5.3052
3.2408 0.0000 8.5795
1.6204 2.8066 8.5795
2.8920 -1.6697 11.8538
0.0000 3.3394 11.8538
-2.7583 -1.5925 5.7197
0.0000 0.0000 6.9410
-2.7583 1.5925 11.4393
0.0000 3.1850 5.7197
0.0000 0.0000 10.2179
```


7.
CsHgPb: simulated powder XRD pattern (copper Kα), based on the GGA-PBE geometry in Alexandria.

Principal peaks in the range 5° ≤ 2θ ≤ 70°, most intense first:
2θ = 24.92°, rel. 100.0; 2θ = 34.81°, rel. 55.1; 2θ = 46.59°, rel. 49.1; 2θ = 14.86°, rel. 35.5; 2θ = 29.97°, rel. 27.1; 2θ = 38.04°, rel. 23.4; 2θ = 43.29°, rel. 23.3; 2θ = 56.71°, rel. 21.1; 2θ = 50.25°, rel. 15.1; 2θ = 62.42°, rel. 10.4

```
CsHgPb
1.0
5.1540 0.0000 0.0000
-2.5770 4.4635 0.0000
0.0000 0.0000 5.9623
Cs Hg Pb
1 1 1
Cartesian
0.0000 0.0000 0.0000
2.5770 1.4878 2.9811
0.0000 2.9757 2.9811
```


8.
Cs2Hg6Pb3: simulated powder XRD pattern (copper Kα), based on the GGA-PBE geometry in Alexandria.

Principal peaks in the range 5° ≤ 2θ ≤ 70°, most intense first:
2θ = 27.00°, rel. 100.0; 2θ = 34.73°, rel. 80.5; 2θ = 38.28°, rel. 41.7; 2θ = 35.07°, rel. 37.5; 2θ = 36.92°, rel. 37.5; 2θ = 27.86°, rel. 36.8; 2θ = 28.88°, rel. 34.2; 2θ = 43.52°, rel. 33.4; 2θ = 12.62°, rel. 30.3; 2θ = 18.87°, rel. 29.6

```
Cs2Hg6Pb3
1.0
6.1797 -7.0138 0.0000
6.1797 7.0138 0.0000
0.0000 0.0000 4.7029
Cs Hg Pb
2 6 3
Cartesian
6.1797 4.0517 0.0000
6.1797 -4.0517 0.0000
1.4582 0.0000 2.3514
3.6824 2.1830 2.3514
3.6824 -2.1830 2.3514
8.6770 2.1830 2.3514
8.6770 -2.1830 2.3514
10.9012 0.0000 2.3514
3.8086 0.0000 0.0000
6.1797 0.0000 2.3514
8.5507 0.0000 0.0000
```


9.
CsHg17Pb: simulated powder XRD pattern (copper Kα), based on the GGA-PBE geometry in Alexandria.

Principal peaks in the range 5° ≤ 2θ ≤ 70°, most intense first:
2θ = 33.12°, rel. 100.0; 2θ = 29.30°, rel. 33.3; 2θ = 28.15°, rel. 30.9; 2θ = 30.48°, rel. 21.3; 2θ = 37.36°, rel. 20.4; 2θ = 33.96°, rel. 15.6; 2θ = 32.10°, rel. 15.5; 2θ = 51.96°, rel. 14.7; 2θ = 36.44°, rel. 13.6; 2θ = 61.43°, rel. 12.5

```
CsHg17Pb
1.0
5.2794 3.0481 5.8653
-5.2794 3.0481 5.8653
0.0000 -6.0961 5.8653
Cs Hg Pb
1 17 1
Cartesian
0.0000 0.0000 0.0000
0.0000 -2.5007 2.9702
-2.1657 1.2504 2.9702
-3.3021 -1.9065 8.5888
0.0000 -2.6913 7.7288
-2.3308 1.3457 7.7288
-1.5329 -2.7727 11.2734
-3.1677 0.0588 11.2734
2.1657 1.2504 2.9703
0.0000 0.0000 9.1279
1.5329 -2.7727 11.2734
-1.6347 2.7139 11.2734
0.0000 0.0000 12.2359
3.3021 -1.9065 8.5888
0.0000 3.8129 8.5888
2.3308 1.3457 7.7288
3.1677 0.0588 11.2734
1.6347 2.7139 11.2734
0.0000 0.0000 4.8326
```


10.
CsHg9Pb2: simulated powder XRD pattern (copper Kα), based on the GGA-PBE geometry in Alexandria.

Principal peaks in the range 5° ≤ 2θ ≤ 70°, most intense first:
2θ = 29.94°, rel. 100.0; 2θ = 29.01°, rel. 77.4; 2θ = 29.26°, rel. 75.0; 2θ = 39.66°, rel. 31.1; 2θ = 44.06°, rel. 26.4; 2θ = 41.36°, rel. 24.3; 2θ = 40.22°, rel. 24.3; 2θ = 35.46°, rel. 23.4; 2θ = 44.92°, rel. 22.5; 2θ = 31.70°, rel. 18.1

```
CsHg9Pb2
1.0
7.1158 0.0000 0.0000
-1.9526 6.8967 0.0000
-2.7967 -0.8005 8.0890
Cs Hg Pb
1 9 2
Cartesian
0.0000 0.0000 0.0000
-1.3513 0.9060 4.6573
-0.0857 3.5247 1.5489
0.7697 -0.0843 6.6700
1.5241 1.3260 3.5949
2.5816 3.4484 0.0000
0.8423 4.7703 4.4941
1.5967 6.1806 1.4190
2.4522 2.5715 6.5401
3.7177 5.1903 3.4317
-1.8508 3.6690 5.7443
4.2173 2.4273 2.3447
```


11.
Cs16HgPb12: simulated powder XRD pattern (copper Kα), based on the GGA-PBE geometry in Alexandria.

Principal peaks in the range 5° ≤ 2θ ≤ 70°, most intense first:
2θ = 29.87°, rel. 100.0; 2θ = 27.14°, rel. 98.0; 2θ = 25.21°, rel. 94.5; 2θ = 26.39°, rel. 90.3; 2θ = 29.43°, rel. 62.7; 2θ = 26.98°, rel. 60.2; 2θ = 25.78°, rel. 57.9; 2θ = 28.07°, rel. 51.8; 2θ = 15.29°, rel. 50.9; 2θ = 30.12°, rel. 48.7

```
Cs16HgPb12
1.0
7.2122 -9.8669 0.0000
7.2122 9.8669 0.0000
-6.4147 0.0000 10.1243
Cs Hg Pb
16 1 12
Cartesian
0.0000 0.0000 0.0000
2.6454 5.4065 4.2084
-1.5349 2.1750 7.7066
6.3285 7.1690 2.9637
2.3537 3.1220 7.4020
-1.5349 -2.1750 7.7066
6.1675 2.9431 1.7451
9.3999 5.8318 0.0836
2.6454 -5.4065 4.2084
2.3537 -3.1220 7.4020
6.6627 0.0000 4.2094
6.1675 -2.9431 1.7451
4.7955 0.0000 7.4606
6.3285 -7.1690 2.9637
10.4769 0.0000 4.6977
9.3999 -5.8318 0.0836
3.6664 0.0000 0.7902
1.0749 7.4713 7.1122
-1.0469 6.2361 9.1005
0.8582 0.0000 5.2651
3.0213 1.5707 3.6588
3.0213 -1.5707 3.6588
5.9589 3.9394 5.8952
1.4722 0.0000 9.8592
-1.0469 -6.2361 9.1005
10.2931 1.6411 0.9142
1.0749 -7.4713 7.1122
10.2931 -1.6411 0.9142
5.9589 -3.9394 5.8952
```


12.
CsHg6Pb: simulated powder XRD pattern (copper Kα), based on the GGA-PBE geometry in Alexandria.

Principal peaks in the range 5° ≤ 2θ ≤ 70°, most intense first:
2θ = 36.67°, rel. 100.0; 2θ = 33.28°, rel. 95.1; 2θ = 61.70°, rel. 47.2; 2θ = 24.84°, rel. 47.1; 2θ = 29.95°, rel. 40.3; 2θ = 25.16°, rel. 39.0; 2θ = 47.78°, rel. 35.1; 2θ = 41.97°, rel. 24.0; 2θ = 18.89°, rel. 23.8; 2θ = 68.15°, rel. 23.2

```
CsHg6Pb
1.0
5.3846 0.0000 0.0000
0.0000 5.3846 0.0000
0.0000 0.0000 9.6055
Cs Hg Pb
1 6 1
Cartesian
0.0000 0.0000 0.0000
0.0000 2.6923 3.1141
0.0000 2.6923 6.4914
2.6923 0.0000 3.1141
2.6923 0.0000 6.4914
2.6923 2.6923 1.5888
2.6923 2.6923 8.0168
0.0000 0.0000 4.8028
```


13.
CsHgPb: simulated powder XRD pattern (copper Kα), based on the GGA-PBE geometry in Alexandria.

Principal peaks in the range 5° ≤ 2θ ≤ 70°, most intense first:
2θ = 26.74°, rel. 100.0; 2θ = 27.74°, rel. 99.7; 2θ = 13.18°, rel. 77.3; 2θ = 31.92°, rel. 53.8; 2θ = 29.55°, rel. 45.2; 2θ = 37.58°, rel. 44.2; 2θ = 50.11°, rel. 35.6; 2θ = 37.34°, rel. 29.6; 2θ = 36.40°, rel. 29.4; 2θ = 34.28°, rel. 27.1

```
CsHgPb
1.0
4.7862 0.0000 0.0000
2.3880 6.9713 0.0000
2.3792 2.0808 7.5359
Cs Hg Pb
2 2 2
Cartesian
1.1952 1.3886 1.6050
8.3583 7.6635 5.9309
3.5814 4.3975 1.2265
5.9721 4.6546 6.3093
3.5789 3.6385 4.3831
5.9745 5.4136 3.1528
```